This entry pairs a crystal structure of Tb4Mg5Tl2 with its simulated PXRD pattern. Radiation: Cu Kα X-rays. Structure: a crystal structure in Alexandria, relaxed with GGA-PBE.
Neutral-atom scattering factors, no anomalous dispersion.

Crystal structure
a = 8.100 Å, b = 3.529 Å, c = 10.549 Å
α = 90.00°, β = 94.09°, γ = 90.00°
Positions (direct):
Tb1 0.159 0.000 0.388
Tb2 0.278 0.000 0.944
Tb3 0.722 0.000 0.056
Tb4 0.841 0.000 0.612
Mg1 0.199 0.500 0.665
Mg2 0.437 0.500 0.208
Mg3 0.500 0.500 0.500
Mg4 0.563 0.500 0.792
Mg5 0.801 0.500 0.335
Tl1 0.062 0.500 0.141
Tl2 0.938 0.500 0.859

Peak list (10 most intense, 2θ = 15–90°, by angle)
| index | two_theta | Rel. int. |
| --- | --- | --- |
| 1 1 -1 | 28.6 | 29 |
| 1 1 -2 | 32.1 | 41 |
| 1 1 2 | 32.9 | 53 |
| 3 0 -1 | 33.7 | 100 |
| 2 0 3 | 35.1 | 48 |
| 1 0 -4 | 35.1 | 50 |
| 0 1 3 | 36.1 | 37 |
| 2 1 -2 | 37.2 | 40 |
| 3 2 -1 | 63.3 | 26 |
| 1 2 -4 | 64.1 | 34 |